Starting from DFT lattice parameters and positions (GGA-PBE), the powder diffraction line list of Pr3Ge3Ir was simulated for CuKα.

Top 10 peaks for 10 to 90 degrees two-theta, in order of falling intensity:
hkl, 2θ/deg, d/Å, Rel. int.
1 1 3, 31.37, 2.852, 100
3 1 2, 38.56, 2.335, 80
0 2 0, 40.85, 2.209, 67
1 1 -4, 31.92, 2.804, 63
3 1 -2, 31.81, 2.814, 41
4 0 -2, 32.21, 2.779, 35
7 1 -3, 62.06, 1.496, 33
3 1 -1, 31.57, 2.834, 31
4 0 -5, 38.74, 2.324, 29
3 1 -4, 36.17, 2.483, 28

Structural model:
```
data_Pr3Ge3Ir
_chemical_formula_sum 'Pr12 Ge12 Ir4'
_space_group_name_H-M_alt 'C 1 2/m 1'
_space_group_IT_number 12
_space_group_name_Hall '-C 2y'
_cell_length_a 11.1268
_cell_length_b 4.4183
_cell_length_c 14.5136
_cell_angle_alpha 90.00
_cell_angle_beta 109.87
_cell_angle_gamma 90.00
loop_
_atom_site_label
_atom_site_type_symbol
_atom_site_fract_x
_atom_site_fract_y
_atom_site_fract_z
Pr1 Pr 0.0295 0.0000 0.3815
Pr2 Pr 0.1031 0.0000 0.9214
Pr3 Pr 0.2450 0.0000 0.2342
Ge1 Ge 0.0398 0.5000 0.2327
Ge2 Ge 0.1115 0.5000 0.0734
Ge3 Ge 0.1528 0.5000 0.5374
Ir1 Ir 0.2487 0.5000 0.3882
```

=====

Starting from DFT lattice parameters and positions (GGA-PBE), the powder diffraction line list of PrGe2Ir4 was simulated for CuKα.

Top 10 peaks for 10 to 90 degrees two-theta, in order of falling intensity:
hkl, 2θ/deg, d/Å, Rel. int.
2 1 1, 34.24, 2.619, 100
3 1 1, 43.18, 2.095, 73
2 2 1, 39.81, 2.264, 70
3 1 0, 36.39, 2.469, 49
1 1 0, 16.06, 5.520, 46
0 0 2, 45.82, 1.980, 37
4 1 0, 48.05, 1.893, 29
3 1 2, 59.88, 1.545, 23
5 0 1, 64.11, 1.453, 21
4 1 2, 68.58, 1.368, 20

Structural model:
```
data_PrGe2Ir4
_chemical_formula_sum 'Pr2 Ge4 Ir8'
_space_group_name_H-M_alt 'P 42/m n m'
_space_group_IT_number 136
_space_group_name_Hall '-P 4n 2n'
_cell_length_a 7.8065
_cell_length_b 7.8065
_cell_length_c 3.9603
_cell_angle_alpha 90.00
_cell_angle_beta 90.00
_cell_angle_gamma 90.00
loop_
_atom_site_label
_atom_site_type_symbol
_atom_site_fract_x
_atom_site_fract_y
_atom_site_fract_z
Pr1 Pr 0.0000 0.0000 0.0000
Ge1 Ge 0.2258 0.2258 0.5000
Ir1 Ir 0.0780 0.6564 0.5000
```

=====

Starting from DFT lattice parameters and positions (GGA-PBE), the powder diffraction line list of Pr3Ge5Ir6 was simulated for CuKα.

Top 10 peaks for 10 to 90 degrees two-theta, in order of falling intensity:
hkl, 2θ/deg, d/Å, Rel. int.
1 3 2, 35.06, 2.559, 100
2 0 0, 43.55, 2.078, 38
0 6 0, 42.60, 2.122, 37
1 3 4, 47.27, 1.923, 31
1 0 3, 34.29, 2.615, 30
0 0 2, 17.57, 5.047, 26
0 3 3, 34.00, 2.637, 23
1 3 6, 63.56, 1.464, 22
2 6 0, 62.56, 1.485, 14
1 3 1, 31.40, 2.849, 13

Structural model:
```
data_Pr3Ge5Ir6
_chemical_formula_sum 'Pr6 Ge10 Ir12'
_space_group_name_H-M_alt 'P m m n'
_space_group_IT_number 59
_cell_length_a 4.1562
_cell_length_b 12.7330
_cell_length_c 10.0941
_cell_angle_alpha 90.00
_cell_angle_beta 90.00
_cell_angle_gamma 90.00
loop_
_space_group_symop_operation_xyz
'x,y,z'
'-x,-y,-z'
'-x+1/2,-y+1/2,z'
'x+1/2,y+1/2,-z'
'x+1/2,-y,-z'
'-x+1/2,y,z'
'-x,y+1/2,-z'
'x,-y+1/2,z'
loop_
_atom_site_label
_atom_site_type_symbol
_atom_site_fract_x
_atom_site_fract_y
_atom_site_fract_z
Pr1 Pr 0.2500 0.0905 0.2462
Pr2 Pr 0.2500 0.7500 0.2450
Ge1 Ge 0.2500 0.0773 0.6479
Ge2 Ge 0.2500 0.6284 0.9855
Ge3 Ge 0.2500 0.7500 0.6176
Ir1 Ir 0.2500 0.0504 0.8964
Ir2 Ir 0.2500 0.2500 0.0011
Ir3 Ir 0.2500 0.2500 0.5186
Ir4 Ir 0.2500 0.5807 0.4910
```

=====

Starting from DFT lattice parameters and positions (GGA-PBE), the powder diffraction line list of PrGe4Ir was simulated for CuKα.

Top 10 peaks for 10 to 90 degrees two-theta, in order of falling intensity:
hkl, 2θ/deg, d/Å, Rel. int.
4 0 0, 31.76, 2.817, 100
2 2 -1, 34.16, 2.625, 94
1 1 -3, 41.94, 2.154, 72
1 1 2, 31.54, 2.836, 64
1 1 1, 21.22, 4.187, 61
2 0 -2, 28.85, 3.095, 46
2 2 0, 32.27, 2.774, 44
3 3 1, 52.01, 1.758, 35
3 1 3, 51.38, 1.778, 35
1 1 -1, 20.00, 4.439, 34

Structural model:
```
data_PrGe4Ir
_chemical_formula_sum 'Pr4 Ge16 Ir4'
_space_group_name_H-M_alt 'C 1 2/c 1'
_space_group_IT_number 15
_space_group_name_Hall '-C 2yc'
_cell_length_a 11.3522
_cell_length_b 6.3698
_cell_length_c 6.8907
_cell_angle_alpha 90.00
_cell_angle_beta 96.96
_cell_angle_gamma 90.00
loop_
_atom_site_label
_atom_site_type_symbol
_atom_site_fract_x
_atom_site_fract_y
_atom_site_fract_z
Pr1 Pr 0.0000 0.1008 0.2500
Ge1 Ge 0.0496 0.3733 0.9110
Ge2 Ge 0.2444 0.1201 0.6413
Ir1 Ir 0.2500 0.2500 0.0000
```

=====

Starting from DFT lattice parameters and positions (GGA-PBE), the powder diffraction line list of Pr2Ge3Ir5 was simulated for CuKα.

Top 10 peaks for 10 to 90 degrees two-theta, in order of falling intensity:
hkl, 2θ/deg, d/Å, Rel. int.
1 3 2, 35.19, 2.551, 100
1 7 1, 35.51, 2.528, 61
2 0 0, 42.36, 2.134, 58
1 9 0, 39.07, 2.305, 40
0 4 3, 41.92, 2.155, 32
1 13 3, 67.69, 1.384, 28
1 1 2, 33.60, 2.667, 26
0 10 1, 38.78, 2.322, 22
2 4 3, 61.12, 1.516, 21
1 5 1, 30.58, 2.923, 21

Structural model:
```
data_Pr2Ge3Ir5
_chemical_formula_sum 'Pr8 Ge12 Ir20'
_space_group_name_H-M_alt 'C m c 21'
_space_group_IT_number 36
_space_group_name_Hall 'C 2c -2'
_cell_length_a 4.2673
_cell_length_b 24.6567
_cell_length_c 6.9007
_cell_angle_alpha 90.00
_cell_angle_beta 90.00
_cell_angle_gamma 90.00
loop_
_atom_site_label
_atom_site_type_symbol
_atom_site_fract_x
_atom_site_fract_y
_atom_site_fract_z
Pr1 Pr 0.0000 0.0229 0.0000
Pr2 Pr 0.0000 0.3240 0.9852
Ge1 Ge 0.0000 0.1110 0.2830
Ge2 Ge 0.0000 0.2667 0.4722
Ge3 Ge 0.0000 0.4514 0.1993
Ir1 Ir 0.0000 0.1015 0.6618
Ir2 Ir 0.0000 0.2059 0.1685
Ir3 Ir 0.0000 0.2089 0.7723
Ir4 Ir 0.0000 0.3661 0.4328
Ir5 Ir 0.0000 0.4429 0.8324
```

=====

Starting from DFT lattice parameters and positions (GGA-PBE), the powder diffraction line list of PrGe7Ir3 was simulated for CuKα.

Top 10 peaks for 10 to 90 degrees two-theta, in order of falling intensity:
hkl, 2θ/deg, d/Å, Rel. int.
1 1 3, 25.66, 3.472, 100
1 1 9, 44.89, 2.019, 77
2 2 3, 47.33, 1.921, 56
3 0 0, 39.07, 2.306, 55
2 1 1, 34.57, 2.595, 39
2 1 4, 38.44, 2.342, 38
1 1 6, 34.00, 2.637, 38
0 3 6, 47.16, 1.927, 38
3 0 12, 67.00, 1.397, 33
0 1 8, 36.51, 2.461, 30

Structural model:
```
data_PrGe7Ir3
_chemical_formula_sum 'Pr6 Ge42 Ir18'
_space_group_name_H-M_alt 'R -3 c'
_space_group_IT_number 167
_space_group_name_Hall '-R 3 2"c'
_cell_length_a 7.9874
_cell_length_b 7.9874
_cell_length_c 21.0664
_cell_angle_alpha 90.00
_cell_angle_beta 90.00
_cell_angle_gamma 120.00
loop_
_atom_site_label
_atom_site_type_symbol
_atom_site_fract_x
_atom_site_fract_y
_atom_site_fract_z
Pr1 Pr 0.0000 0.0000 0.0000
Ge1 Ge 0.0000 0.0000 0.2500
Ge2 Ge 0.0127 0.2085 0.1362
Ir1 Ir 0.0000 0.3162 0.2500
```